Record 1
Structure and calculated X-ray powder pattern of NdScS (a crystal structure in Alexandria, relaxed with PBE; Cu Ka).

Peak list (10 most intense, 2θ from 10° to 80°, by angle)
d (Å)  two_theta  intensity
6.239  14.2  29
3.243  27.5  24
3.120  28.6  17
2.878  31.1  100
2.248  40.1  36
1.872  48.6  22
1.751  52.3  20
1.605  57.4  14
1.569  58.8  16
1.203  79.7  13

Cell and atoms:
```
3
Lattice="3.7448 0.0000 0.0000 -1.8724 3.2431 0.0000 0.0000 0.0000 6.2395" Properties=species:S:1:pos:R:3 pbc="T T T"
Nd 0.0000 0.0000 0.0000
Sc 1.8724 1.0810 3.2256
S 0.0000 2.1621 1.8421
```

Record 2
Structure and calculated X-ray powder pattern of Ba2La4Sb3N2 (a crystal structure in Alexandria, relaxed with PBE; Cu Ka).

Peak list (10 most intense, 2θ from 10° to 80°, by angle)
d (Å)  two_theta  intensity
3.442  25.9  53
3.098  28.8  22
2.810  31.8  100
2.514  35.7  52
2.030  44.6  13
1.952  46.5  19
1.778  51.4  18
1.695  54.1  13
1.579  58.4  14
1.502  61.7  30

Cell and atoms:
```
11
Lattice="-2.5140 2.5140 13.7631 2.5140 -2.5140 13.7631 2.5140 2.5140 -13.7631" Properties=species:S:1:pos:R:3 pbc="T T T"
Ba 0.0000 0.0000 5.3721
Ba 0.0000 0.0000 22.1540
La 2.5140 0.0000 2.2446
La 2.5140 0.0000 11.5184
La 0.0000 2.5140 2.2446
La 0.0000 2.5140 11.5184
Sb 0.0000 0.0000 9.1331
Sb 0.0000 0.0000 13.7631
Sb 0.0000 0.0000 18.3930
N 0.0000 0.0000 2.5885
N 0.0000 0.0000 24.9376
```

Record 3
Structure and calculated X-ray powder pattern of Pm2Tm12Zr (a crystal structure in Alexandria, relaxed with PBE; Cu Ka).

Peak list (10 most intense, 2θ from 10° to 80°, by angle)
d (Å)  two_theta  intensity
2.957  30.2  23
2.882  31.0  51
2.821  31.7  100
2.753  32.5  84
2.716  33.0  43
2.606  34.4  52
2.576  34.8  56
1.934  47.0  32
1.508  61.5  24
1.478  62.9  25

Cell and atoms:
```
30
Lattice="3.5022 -5.5061 0.0000 3.5022 5.5061 0.0000 -1.7477 0.0000 23.6709" Properties=species:S:1:pos:R:3 pbc="T T T"
Pm -0.0122 0.0000 6.4814
Pm 1.7486 0.0000 17.1019
Pm 3.5080 0.0000 6.5690
Pm 5.2688 0.0000 17.1895
Tm -0.0017 0.0000 2.9431
Tm 1.7523 2.7530 4.4702
Tm 1.7494 2.7424 7.7755
Tm -0.0176 0.0000 13.5940
Tm 1.7521 2.7244 13.1521
Tm 1.7508 2.7094 22.1843
Tm 3.5059 2.7094 1.4867
Tm 1.7359 0.0000 10.1312
Tm 3.5045 2.7244 10.5188
Tm 3.5072 2.7424 15.8954
Tm 3.5043 2.7530 19.2007
Tm 1.7516 0.0000 20.6174
Tm 3.5051 0.0000 3.0535
Tm 1.7523 -2.7530 4.4702
Tm 1.7494 -2.7424 7.7755
Tm 1.7521 -2.7244 13.1521
Tm 3.5208 0.0000 13.5397
Tm 1.7508 -2.7094 22.1843
Tm 3.5059 -2.7094 1.4867
Tm 3.5045 -2.7244 10.5188
Tm 5.2742 0.0000 10.0769
Tm 3.5072 -2.7424 15.8954
Tm 3.5043 -2.7530 19.2007
Tm 5.2583 0.0000 20.7278
Zr 1.9298 0.0000 0.0012
Zr 3.3268 0.0000 23.6697
```

Record 4
Structure and calculated X-ray powder pattern of Tb2ZrU2Ru5 (a crystal structure in Alexandria, relaxed with PBE; Cu Ka).

Peak list (10 most intense, 2θ from 10° to 80°, by angle)
d (Å)  two_theta  intensity
7.450  11.9  17
4.712  18.8  20
3.332  26.8  17
2.558  35.1  36
2.483  36.2  38
2.422  37.1  100
2.250  40.1  31
2.110  42.9  34
1.763  51.8  18
1.571  58.8  15

Cell and atoms:
```
20
Lattice="10.5364 0.0000 0.0000 0.0000 10.5364 0.0000 0.0000 0.0000 3.5269" Properties=species:S:1:pos:R:3 pbc="T T T"
Tb 1.8310 3.4372 0.0000
Tb 3.4372 8.7054 0.0000
Tb 7.0993 1.8310 0.0000
Tb 8.7054 7.0993 0.0000
Zr 0.0000 0.0000 0.0000
Zr 5.2682 5.2682 0.0000
U 1.4572 6.7254 0.0000
U 3.8110 1.4572 0.0000
U 6.7254 9.0792 0.0000
U 9.0792 3.8110 0.0000
Ru 0.0000 5.2682 1.7634
Ru 0.5309 8.3707 1.7634
Ru 2.1657 0.5309 1.7634
Ru 3.1025 5.7991 1.7634
Ru 4.7373 3.1025 1.7634
Ru 5.2682 0.0000 1.7634
Ru 5.7991 7.4339 1.7634
Ru 7.4339 4.7373 1.7634
Ru 8.3707 10.0055 1.7634
Ru 10.0055 2.1657 1.7634
```

Record 5
Structure and calculated X-ray powder pattern of CePuSO2 (a crystal structure in Alexandria, relaxed with PBE; Cu Ka).

Peak list (10 most intense, 2θ from 10° to 80°, by angle)
d (Å)  two_theta  intensity
5.993  14.8  18
3.662  24.3  62
2.997  29.8  15
2.771  32.3  100
2.720  32.9  47
2.014  45.0  31
1.923  47.3  23
1.703  53.8  16
1.580  58.4  37
1.564  59.1  15

Cell and atoms:
```
5
Lattice="-1.9230 1.9230 5.9931 1.9230 -1.9230 5.9931 1.9230 1.9230 -5.9931" Properties=species:S:1:pos:R:3 pbc="T T T"
Ce 0.0000 0.0000 0.0000
Pu 0.0000 0.0000 3.4650
S 0.0000 0.0000 7.7628
O 1.9230 0.0000 4.7559
O 0.0000 1.9230 4.7559
```

Record 6
Structure and calculated X-ray powder pattern of LiCu2F4 (a crystal structure in Alexandria, relaxed with PBE; Cu Ka).

Peak list (10 most intense, 2θ from 10° to 80°, by angle)
d (Å)  two_theta  intensity
5.000  17.7  64
4.559  19.5  49
2.794  32.0  100
2.652  33.8  57
2.562  35.0  25
2.343  38.4  26
1.863  48.9  16
1.753  52.2  19
1.682  54.6  32
1.520  61.0  19

Cell and atoms:
```
14
Lattice="3.2161 0.0000 0.0000 0.0000 9.9994 0.0000 -0.2990 0.0000 5.1223" Properties=species:S:1:pos:R:3 pbc="T T T"
Li 0.3779 2.4998 1.5942
Li 2.5392 7.4995 3.5281
Cu 1.0003 5.7629 1.1787
Cu 1.0003 9.2361 1.1787
Cu 1.9168 0.7632 3.9436
Cu 1.9168 4.2364 3.9436
F -0.1495 0.0000 2.5612
F -0.1495 4.9997 2.5612
F 0.9064 1.1324 0.2961
F 0.9064 3.8673 0.2961
F 1.0076 7.4995 2.2863
F 1.9095 2.4998 2.8360
F 2.0107 6.1321 4.8262
F 2.0107 8.8670 4.8262
```